Record 1
Starting from DFT lattice parameters and positions (GGA-PBE), the powder X-ray diffraction pattern of AlHg3 was computed for CuKα.

Principal peaks in the range 2θ from 10° to 90°, most intense first:
2.607 Å, intensity 100; 2.183 Å, intensity 28; 1.328 Å, intensity 24; 1.625 Å, intensity 23; 3.984 Å, intensity 20; 2.435 Å, intensity 19; 1.437 Å, intensity 15; 1.304 Å, intensity 12; 1.544 Å, intensity 10; 1.914 Å, intensity 9; 4.870 Å, intensity 8; 3.087 Å, intensity 5

```
AlHg3
1.0
-2.1832 2.1832 4.8697
2.1832 -2.1832 4.8697
2.1832 2.1832 -4.8697
Al Hg
1 3
direct
0.0000 0.0000 0.0000 Al
0.2500 0.7500 0.5000 Hg
0.5000 0.5000 0.0000 Hg
0.7500 0.2500 0.5000 Hg
```

Record 2
Starting from DFT lattice parameters and positions (GGA-PBE), the powder X-ray diffraction pattern of LiPuF5 was computed for CuKα.

Principal peaks in the range 2θ from 10° to 90°, most intense first:
4.534 Å, intensity 100; 5.110 Å, intensity 78; 3.232 Å, intensity 68; 2.911 Å, intensity 61; 1.992 Å, intensity 58; 3.070 Å, intensity 51; 3.391 Å, intensity 51; 3.841 Å, intensity 51; 2.004 Å, intensity 33; 1.807 Å, intensity 25; 2.632 Å, intensity 25; 1.856 Å, intensity 23

```
LiPuF5
1.0
-7.2272 7.2272 3.1803
7.2272 -7.2272 3.1803
7.2272 7.2272 -3.1803
Li Pu F
8 8 40
direct
0.1609 0.8918 0.1068 Li
0.2851 0.0541 0.3932 Li
0.3918 0.7850 0.7309 Li
0.4459 0.3391 0.2309 Li
0.5541 0.6609 0.7691 Li
0.6082 0.2150 0.2691 Li
0.7150 0.9459 0.6068 Li
0.8391 0.1082 0.8932 Li
0.1850 0.3036 0.4921 Pu
0.1929 0.6850 0.3814 Pu
0.1964 0.1884 0.8814 Pu
0.3116 0.6929 0.0079 Pu
0.6884 0.3071 0.9921 Pu
0.8036 0.8116 0.1186 Pu
0.8071 0.3150 0.6186 Pu
0.8150 0.6964 0.5079 Pu
0.0312 0.7422 0.4226 F
0.0448 0.9248 0.9728 F
0.0507 0.9344 0.7071 F
0.0874 0.6778 0.0030 F
0.1086 0.5312 0.7890 F
0.1506 0.0304 0.2272 F
0.1564 0.4493 0.3837 F
0.1748 0.0844 0.4970 F
0.1778 0.6748 0.5904 F
0.1804 0.3914 0.9226 F
0.2422 0.3196 0.7110 F
0.2727 0.6564 0.2071 F
0.3032 0.9234 0.2728 F
0.4156 0.4126 0.0904 F
0.4234 0.6506 0.6202 F
0.4248 0.9520 0.8800 F
0.4280 0.4552 0.3800 F
0.4344 0.2273 0.8837 F
0.4520 0.0720 0.5272 F
0.4696 0.1968 0.1202 F
0.5304 0.8032 0.8798 F
0.5480 0.9280 0.4728 F
0.5656 0.7727 0.1163 F
0.5720 0.5448 0.6200 F
0.5752 0.0480 0.1200 F
0.5766 0.3494 0.3798 F
0.5844 0.5874 0.9096 F
0.6968 0.0766 0.7272 F
0.7273 0.3436 0.7929 F
0.7578 0.6804 0.2890 F
0.8196 0.6086 0.0774 F
0.8222 0.3252 0.4096 F
0.8252 0.9156 0.5030 F
0.8436 0.5507 0.6163 F
0.8494 0.9696 0.7728 F
0.8914 0.4688 0.2110 F
0.9126 0.3222 0.9970 F
0.9493 0.0656 0.2929 F
0.9552 0.0752 0.0272 F
0.9688 0.2578 0.5774 F
```

Record 3
Starting from DFT lattice parameters and positions (GGA-PBE), the powder X-ray diffraction pattern of LuBiAsO was computed for CuKα.

Principal peaks in the range 2θ from 10° to 90°, most intense first:
2.841 Å, intensity 100; 4.943 Å, intensity 47; 2.592 Å, intensity 43; 2.098 Å, intensity 42; 1.440 Å, intensity 40; 2.544 Å, intensity 30; 3.199 Å, intensity 29; 1.631 Å, intensity 21; 1.315 Å, intensity 20; 2.205 Å, intensity 19; 1.931 Å, intensity 16; 1.899 Å, intensity 15

```
LuBiAsO
1.0
4.1955 0.0000 0.0000
0.0000 4.1955 0.0000
0.0000 0.0000 9.8860
Lu Bi As O
2 2 2 2
direct
0.2500 0.2500 0.0822 Lu
0.7500 0.7500 0.9178 Lu
0.2500 0.7500 0.5000 Bi
0.7500 0.2500 0.5000 Bi
0.2500 0.2500 0.7426 As
0.7500 0.7500 0.2574 As
0.2500 0.7500 0.0000 O
0.7500 0.2500 0.0000 O
```

Record 4
Starting from DFT lattice parameters and positions (GGA-PBE), the powder X-ray diffraction pattern of LiTeWAuSe2 was computed for CuKα.

Principal peaks in the range 2θ from 10° to 90°, most intense first:
6.900 Å, intensity 100; 2.467 Å, intensity 55; 2.707 Å, intensity 44; 2.593 Å, intensity 37; 2.103 Å, intensity 26; 2.178 Å, intensity 22; 3.254 Å, intensity 20; 1.668 Å, intensity 18; 2.427 Å, intensity 17; 1.354 Å, intensity 15; 1.769 Å, intensity 13; 2.859 Å, intensity 13

```
LiTeWAuSe2
1.0
1.7689 -6.9003 0.0000
1.7689 6.9003 0.0000
0.0000 0.0000 10.3723
Li Te W Au Se
2 2 2 2 4
direct
0.2223 0.7777 0.7500 Li
0.7777 0.2223 0.2500 Li
0.1002 0.8998 0.2500 Te
0.8998 0.1002 0.7500 Te
0.0000 0.0000 0.0000 W
0.0000 0.0000 0.5000 W
0.4333 0.5667 0.2500 Au
0.5667 0.4333 0.7500 Au
0.3629 0.6371 0.0284 Se
0.3629 0.6371 0.4716 Se
0.6371 0.3629 0.5284 Se
0.6371 0.3629 0.9716 Se
```

Record 5
Starting from DFT lattice parameters and positions (GGA-PBE), the powder X-ray diffraction pattern of PrAl5CuPd was computed for CuKα.

Principal peaks in the range 2θ from 10° to 90°, most intense first:
2.873 Å, intensity 100; 2.032 Å, intensity 63; 2.608 Å, intensity 50; 3.625 Å, intensity 42; 1.913 Å, intensity 41; 2.549 Å, intensity 30; 5.832 Å, intensity 27; 1.437 Å, intensity 24; 2.983 Å, intensity 23; 3.754 Å, intensity 18; 1.486 Å, intensity 17; 2.455 Å, intensity 13

```
PrAl5CuPd
1.0
-2.0310 3.6251 4.9092
2.0310 -3.6251 4.9092
2.0310 3.6251 -4.9092
Pr Al Cu Pd
1 5 1 1
direct
0.0000 0.0000 0.0000 Pr
0.1671 0.3565 0.8105 Al
0.4693 0.6570 0.8123 Al
0.5129 0.0129 0.5000 Al
0.5460 0.3565 0.1895 Al
0.8446 0.6570 0.1877 Al
0.7559 0.2559 0.5000 Cu
0.2653 0.7653 0.5000 Pd
```

Record 6
Starting from DFT lattice parameters and positions (GGA-PBE), the powder X-ray diffraction pattern of ErReNO was computed for CuKα.

Principal peaks in the range 2θ from 10° to 90°, most intense first:
2.736 Å, intensity 100; 2.748 Å, intensity 99; 3.343 Å, intensity 98; 8.245 Å, intensity 85; 2.289 Å, intensity 82; 2.366 Å, intensity 78; 2.119 Å, intensity 52; 2.063 Å, intensity 51; 1.800 Å, intensity 43; 4.123 Å, intensity 42; 2.383 Å, intensity 39; 2.720 Å, intensity 28

```
ErReNO
1.0
5.4404 0.0000 0.0000
0.0000 8.2453 0.0000
0.0000 0.0000 4.9404
Er Re N O
4 4 4 4
direct
0.0115 0.1560 0.0000 Er
0.4885 0.1560 0.5000 Er
0.5115 0.8440 0.0000 Er
0.9885 0.8440 0.5000 Er
0.1216 0.5139 0.1873 Re
0.3784 0.5139 0.6873 Re
0.6216 0.4861 0.1873 Re
0.8784 0.4861 0.6873 Re
0.1053 0.6562 0.8562 N
0.3947 0.6562 0.3562 N
0.6053 0.3438 0.8562 N
0.8947 0.3438 0.3562 N
0.1396 0.0674 0.6224 O
0.3604 0.0674 0.1224 O
0.6396 0.9326 0.6224 O
0.8604 0.9326 0.1224 O
```

Record 7
Starting from DFT lattice parameters and positions (GGA-PBE), the powder X-ray diffraction pattern of HfGaI7 was computed for CuKα.

Principal peaks in the range 2θ from 10° to 90°, most intense first:
6.454 Å, intensity 100; 8.649 Å, intensity 97; 8.046 Å, intensity 71; 3.511 Å, intensity 71; 3.684 Å, intensity 67; 3.047 Å, intensity 60; 3.396 Å, intensity 51; 5.405 Å, intensity 46; 3.171 Å, intensity 39; 4.112 Å, intensity 33; 2.638 Å, intensity 32; 2.447 Å, intensity 32

```
HfGaI7
1.0
8.1638 0.0000 0.0000
0.0000 6.9226 0.0000
-2.9664 0.0000 17.2988
Hf Ga I
2 2 14
direct
0.0000 0.0803 0.0000 Hf
0.0000 0.9197 0.5000 Hf
0.2558 0.4873 0.1399 Ga
0.2558 0.5127 0.6399 Ga
0.1285 0.1413 0.3978 I
0.1285 0.8587 0.8978 I
0.2463 0.1367 0.6370 I
0.2463 0.8633 0.1370 I
0.3106 0.3275 0.0102 I
0.3106 0.6725 0.5102 I
0.4657 0.3737 0.2529 I
0.4657 0.6263 0.7529 I
0.7464 0.1370 0.5344 I
0.7464 0.8630 0.0344 I
0.8229 0.3267 0.8989 I
0.8229 0.6733 0.3989 I
0.9611 0.3284 0.1384 I
0.9611 0.6716 0.6384 I
```

Record 8
Starting from DFT lattice parameters and positions (GGA-PBE), the powder X-ray diffraction pattern of NdTmSbBr2 was computed for CuKα.

Principal peaks in the range 2θ from 10° to 90°, most intense first:
3.057 Å, intensity 100; 2.194 Å, intensity 38; 2.131 Å, intensity 35; 1.748 Å, intensity 19; 1.383 Å, intensity 17; 1.352 Å, intensity 17; 2.591 Å, intensity 15; 1.242 Å, intensity 12; 1.529 Å, intensity 12; 3.497 Å, intensity 12; 2.092 Å, intensity 9; 1.819 Å, intensity 8

```
NdTmSbBr2
1.0
4.2628 0.0000 0.0000
-2.1314 3.6917 0.0000
0.0000 0.0000 10.9105
Nd Tm Sb Br
1 1 1 2
direct
0.0000 0.0000 0.0000 Nd
0.3333 0.6667 0.3219 Tm
0.6667 0.3333 0.1713 Sb
0.0000 0.0000 0.4738 Br
0.3333 0.6667 0.8352 Br
```